# Li4FeN2
Computed powder X-ray diffraction pattern, Cu Ka. Input: DFT lattice parameters and positions (PBE).

Top 10 peaks for 2θ from 10° to 90°, in order of rising 2θ:
2θ/deg, Rel. int.
18.49, 10
19.39, 100
27.91, 27
31.49, 40
34.45, 9
36.76, 13
38.70, 9
44.90, 25
49.74, 8
58.03, 8

Structural model:
```
data_Li4FeN2
_symmetry_space_group_name_H-M 'I m m m'
_symmetry_Int_Tables_number 71
_symmetry_space_group_name_Hall '-I 2 2'
_cell_length_a 3.390
_cell_length_b 5.207
_cell_length_c 9.598
_cell_angle_alpha 90.00
_cell_angle_beta 90.00
_cell_angle_gamma 90.00
loop_
_atom_site_label
_atom_site_fract_x
_atom_site_fract_y
_atom_site_fract_z
Li1 0.000 0.240 0.158
Fe1 0.000 0.500 0.500
N1 0.000 0.500 0.322
```


# HfCu2Pd6
Computed powder X-ray diffraction pattern, Cu Ka. Input: DFT lattice parameters and positions (PBE).

Top 10 peaks for 2θ from 10° to 90°, in order of rising 2θ:
2θ/deg, Rel. int.
39.63, 100
39.80, 99
45.27, 34
45.78, 33
47.49, 29
66.34, 21
67.70, 20
79.76, 13
79.87, 12
80.38, 12

Structural model:
```
data_HfCu2Pd6
_symmetry_space_group_name_H-M 'C 1 2/m 1'
_symmetry_Int_Tables_number 12
_symmetry_space_group_name_Hall '-C 2y'
_cell_length_a 8.645
_cell_length_b 4.007
_cell_length_c 8.242
_cell_angle_alpha 90.00
_cell_angle_beta 106.53
_cell_angle_gamma 90.00
loop_
_atom_site_label
_atom_site_fract_x
_atom_site_fract_y
_atom_site_fract_z
Hf1 0.000 0.000 0.000
Cu1 0.178 0.500 0.232
Pd1 0.006 0.000 0.325
Pd2 0.162 0.500 0.888
Pd3 0.165 0.500 0.554
```


# ZnNi3N
Computed powder X-ray diffraction pattern, Cu Ka. Input: DFT lattice parameters and positions (PBE).

Top 10 peaks for 2θ from 10° to 90°, in order of rising 2θ:
2θ/deg, Rel. int.
41.49, 100
41.66, 99
48.07, 77
49.02, 36
70.10, 11
70.58, 11
71.09, 43
84.98, 22
85.32, 22
86.52, 11

Structural model:
```
data_ZnNi3N
_symmetry_space_group_name_H-M 'P 1 2/m 1'
_symmetry_Int_Tables_number 10
_symmetry_space_group_name_Hall '-P 2y'
_cell_length_a 5.338
_cell_length_b 3.717
_cell_length_c 5.993
_cell_angle_alpha 90.00
_cell_angle_beta 116.37
_cell_angle_gamma 90.00
loop_
_atom_site_label
_atom_site_fract_x
_atom_site_fract_y
_atom_site_fract_z
Zn1 0.124 0.000 0.247
Ni1 0.000 0.500 0.500
Ni2 0.244 0.500 0.000
Ni3 0.373 0.000 0.746
Ni4 0.500 0.500 0.500
N1 0.372 0.500 0.744
```


# LaUTl2S6
Computed powder X-ray diffraction pattern, Cu Ka. Input: DFT lattice parameters and positions (PBE).

Top 10 peaks for 2θ from 10° to 90°, in order of rising 2θ:
2θ/deg, Rel. int.
24.07, 23
24.20, 100
24.67, 25
34.23, 17
34.74, 26
42.28, 13
42.42, 18
42.64, 14
43.14, 30
49.56, 17

Structural model:
```
data_LaUTl2S6
_symmetry_space_group_name_H-M 'P 1 21/c 1'
_symmetry_Int_Tables_number 14
_symmetry_space_group_name_Hall '-P 2ybc'
_cell_length_a 7.218
_cell_length_b 7.394
_cell_length_c 12.722
_cell_angle_alpha 90.00
_cell_angle_beta 124.54
_cell_angle_gamma 90.00
loop_
_atom_site_label
_atom_site_fract_x
_atom_site_fract_y
_atom_site_fract_z
La1 0.000 0.000 0.000
U1 0.500 0.000 0.500
Tl1 0.254 0.051 0.747
S1 0.167 0.037 0.265
S2 0.248 0.675 0.045
S3 0.383 0.207 0.053
```


# La2Zn3Cu
Computed powder X-ray diffraction pattern, Cu Ka. Input: DFT lattice parameters and positions (PBE).

Top 10 peaks for 2θ from 10° to 90°, in order of rising 2θ:
2θ/deg, Rel. int.
22.25, 14
33.33, 100
38.95, 20
39.11, 39
50.21, 9
52.21, 18
52.37, 9
65.43, 16
66.98, 8
67.16, 8

Structural model:
```
data_La2Zn3Cu
_symmetry_space_group_name_H-M 'F m m m'
_symmetry_Int_Tables_number 69
_symmetry_space_group_name_Hall '-F 2 2'
_cell_length_a 7.267
_cell_length_b 9.249
_cell_length_c 15.938
_cell_angle_alpha 90.00
_cell_angle_beta 90.00
_cell_angle_gamma 90.00
loop_
_atom_site_label
_atom_site_fract_x
_atom_site_fract_y
_atom_site_fract_z
La1 0.243 0.000 0.000
La2 0.250 0.250 0.250
Zn1 0.000 0.000 0.332
Zn2 0.000 0.249 0.084
Cu1 0.000 0.000 0.167
```


# Tb6Hg4Pb7
Computed powder X-ray diffraction pattern, Cu Ka. Input: DFT lattice parameters and positions (PBE).

Top 10 peaks for 2θ from 10° to 90°, in order of rising 2θ:
2θ/deg, Rel. int.
30.94, 100
33.48, 18
35.87, 67
42.34, 13
51.64, 42
61.42, 34
64.47, 13
68.91, 9
84.31, 11
87.04, 16

Structural model:
```
data_Tb6Hg4Pb7
_symmetry_space_group_name_H-M 'I m -3 m'
_symmetry_Int_Tables_number 229
_symmetry_space_group_name_Hall '-I 4 2 3'
_cell_length_a 10.014
_cell_length_b 10.014
_cell_length_c 10.014
_cell_angle_alpha 90.00
_cell_angle_beta 90.00
_cell_angle_gamma 90.00
loop_
_atom_site_label
_atom_site_fract_x
_atom_site_fract_y
_atom_site_fract_z
Tb1 0.000 0.000 0.296
Hg1 0.250 0.250 0.250
Pb1 0.000 0.000 0.000
Pb2 0.000 0.250 0.500
```